(1)
# Nb2Sn2Sb
Simulated powder X-ray diffraction pattern, Cu Kα, 1.54184 Å. Input: a crystal structure in Alexandria, relaxed with PBE.
Peak positions follow from Bragg's law for the DFT cell and can differ from measured ones.

Crystal structure
Lattice parameters (Å, degrees): 7.448 7.448 3.940 90.00 90.00 90.00
Space group P4/mbm (No. 127)
Asymmetric unit:
Nb: 0.147 0.353 0.000
Sn: 0.150 0.650 0.500
Sb: 0.000 0.000 0.000

Most intense lines, 2θ from 10° to 90°, sorted by position:
2θ = 28.29°, rel. 144, hkl 1 1 1; 2θ = 33.10°, rel. 113, hkl 2 0 1; 2θ = 35.28°, rel. 1000, hkl 2 1 1; 2θ = 38.21°, rel. 478, hkl 3 1 0; 2θ = 46.08°, rel. 163, hkl 0 0 2; 2θ = 61.35°, rel. 238, hkl 3 1 2; 2θ = 72.42°, rel. 192, hkl 5 2 1; 2θ = 78.25°, rel. 102, hkl 2 1 3

***

(2)
# Ce3Tm4Te8
Simulated powder X-ray diffraction pattern, Cu Kα, 1.54184 Å. Input: a crystal structure in Alexandria, relaxed with PBE.
Peak positions follow from Bragg's law for the DFT cell and can differ from measured ones.

Crystal structure
Lattice parameters (Å, degrees): 12.374 12.397 8.728 90.00 134.72 90.00
Space group C2/m (No. 12)
Asymmetric unit:
Ce: 0.000 0.000 0.000
Ce: 0.250 0.250 0.000
Tm: 0.000 0.500 0.000
Tm: 0.000 0.500 0.500
Tm: 0.250 0.250 0.500
Te: 0.000 0.249 0.500
Te: 0.000 0.255 0.000
Te: 0.245 0.500 0.000
Te: 0.246 0.500 0.490

Most intense lines, 2θ from 10° to 90°, sorted by position:
2θ = 28.82°, rel. 1000, hkl 0 4 0; 2θ = 41.06°, rel. 128, hkl 4 0 0; 2θ = 41.21°, rel. 506, hkl 0 4 2; 2θ = 41.38°, rel. 125, hkl 4 0 -4; 2θ = 50.93°, rel. 137, hkl 4 4 0; 2θ = 51.20°, rel. 134, hkl 4 4 -4; 2θ = 67.53°, rel. 87, hkl 0 4 4; 2θ = 67.60°, rel. 115, hkl 0 8 2

***

(3)
# Er2Mn17C3
Simulated powder X-ray diffraction pattern, Cu Kα, 1.54184 Å. Input: a crystal structure in Alexandria, relaxed with PBE.
Peak positions follow from Bragg's law for the DFT cell and can differ from measured ones.

Crystal structure
Lattice parameters (Å, degrees): 8.4970 8.4970 8.2871 90.00 90.00 120.00
Space group P6_3/mmc (No. 194)
Asymmetric unit:
Er: 0.0000 0.0000 0.2500
Er: 0.3333 0.6667 0.2500
Mn: 0.0000 0.5000 0.0000
Mn: 0.0602 0.3882 0.7500
Mn: 0.1674 0.3348 0.0243
Mn: 0.3333 0.6667 0.6066
C: 0.1655 0.3310 0.2500

Most intense lines, 2θ from 10° to 90°, sorted by position:
2θ = 30.13°, rel. 572, hkl 1 1 2; 2θ = 34.00°, rel. 235, hkl 2 1 1; 2θ = 36.64°, rel. 399, hkl 3 0 0; 2θ = 40.85°, rel. 463, hkl 2 0 3; 2θ = 42.56°, rel. 816, hkl 2 2 0; 2θ = 42.84°, rel. 1000, hkl 3 0 2; 2θ = 43.69°, rel. 371, hkl 0 0 4; 2θ = 61.98°, rel. 293, hkl 4 1 2